(1)
Starting from the GGA-PBE geometry in the Materials Project, the powder diffraction line list of CeNd3 was simulated for CuKα.

Atomic structure:
```
data_CeNd3
_chemical_formula_sum 'Ce1 Nd3'
_symmetry_space_group_name_H-M 'P m -3 m'
_symmetry_Int_Tables_number 221
_symmetry_space_group_name_Hall '-P 4 2 3'
_cell_length_a 5.140
_cell_length_b 5.140
_cell_length_c 5.140
_cell_angle_alpha 90.00
_cell_angle_beta 90.00
_cell_angle_gamma 90.00
loop_
_atom_site_label
_atom_site_type_symbol
_atom_site_fract_x
_atom_site_fract_y
_atom_site_fract_z
Ce1 Ce 0.000 0.000 0.000
Nd1 Nd 0.000 0.500 0.500
```

Main lines, by intensity (10° ≤ 2θ ≤ 80°):
d/Å  intensity
2.968  100
2.570  51
1.550  43
1.817  36
1.484  12
1.285  6

=====

(2)
Starting from the GGA-PBE geometry in the Materials Project, the powder diffraction line list of Ce8Nd2O19 was simulated for CuKα.

Atomic structure:
```
data_Ce8Nd2O19
_chemical_formula_sum 'Ce8 Nd2 O19'
_symmetry_space_group_name_H-M 'P 1'
_symmetry_Int_Tables_number 1
_cell_length_a 3.881
_cell_length_b 3.881
_cell_length_c 27.563
_cell_angle_alpha 90.01
_cell_angle_beta 90.03
_cell_angle_gamma 90.00
loop_
_symmetry_equiv_pos_as_xyz
'x,y,z'
loop_
_atom_site_label
_atom_site_type_symbol
_atom_site_fract_x
_atom_site_fract_y
_atom_site_fract_z
Ce1 Ce 0.000 0.000 0.000
Ce2 Ce 0.000 0.003 0.398
Ce3 Ce 0.004 0.003 0.801
Ce4 Ce 0.496 0.504 0.299
Ce5 Ce 0.497 0.503 0.100
Ce6 Ce 0.501 0.501 0.702
Ce7 Ce 0.504 0.500 0.900
Ce8 Ce 0.996 0.002 0.199
Nd1 Nd 0.001 0.999 0.607
Nd2 Nd 0.502 0.500 0.493
O1 O 0.001 0.498 0.950
O2 O 0.001 0.499 0.657
O3 O 0.002 0.503 0.753
O4 O 0.003 0.501 0.442
O5 O 0.005 0.498 0.550
O6 O 0.005 0.502 0.851
O7 O 0.495 0.003 0.149
O8 O 0.496 0.002 0.249
O9 O 0.497 0.002 0.049
O10 O 0.497 0.006 0.350
O11 O 0.501 0.002 0.750
O12 O 0.501 0.998 0.648
O13 O 0.501 0.999 0.950
O14 O 0.503 0.000 0.452
O15 O 0.505 0.001 0.850
O16 O 0.995 0.503 0.249
O17 O 0.996 0.502 0.150
O18 O 0.996 0.507 0.347
O19 O 0.998 0.503 0.050
```

Main lines, by intensity (10° ≤ 2θ ≤ 80°):
d/Å  intensity
3.173  100
1.945  35
1.656  30
2.744  20
1.941  18
1.661  14
1.262  11
2.756  10

=====

(3)
Starting from the GGA-PBE geometry in the Materials Project, the powder diffraction line list of CeNdSi2 was simulated for CuKα.

Atomic structure:
```
data_CeNdSi2
_chemical_formula_sum 'Ce2 Nd2 Si4'
_symmetry_space_group_name_H-M 'P m c 21'
_symmetry_Int_Tables_number 26
_cell_length_a 3.922
_cell_length_b 5.862
_cell_length_c 8.203
_cell_angle_alpha 90.00
_cell_angle_beta 90.00
_cell_angle_gamma 90.00
loop_
_symmetry_equiv_pos_as_xyz
'x,y,z'
'-x,-y,z+1/2'
'-x,y,z'
'x,-y,z+1/2'
loop_
_atom_site_label
_atom_site_type_symbol
_atom_site_fract_x
_atom_site_fract_y
_atom_site_fract_z
Ce1 Ce 0.000 0.136 0.000
Nd1 Nd 0.500 0.363 0.640
Si1 Si 0.000 0.372 0.355
Si2 Si 0.500 0.126 0.285
```

Main lines, by intensity (10° ≤ 2θ ≤ 80°):
d/Å  intensity
3.030  100
2.760  81
2.835  72
2.478  48
2.552  44
2.257  39
3.260  37
1.781  32

=====

(4)
Starting from the GGA-PBE geometry in the Materials Project, the powder diffraction line list of Ce5Nd5Si6 was simulated for CuKα.

Atomic structure:
```
data_Ce5Nd5Si6
_chemical_formula_sum 'Ce10 Nd10 Si12'
_symmetry_space_group_name_H-M 'C 1 m 1'
_symmetry_Int_Tables_number 8
_cell_length_a 10.920
_cell_length_b 10.957
_cell_length_c 8.773
_cell_angle_alpha 90.00
_cell_angle_beta 128.16
_cell_angle_gamma 90.00
loop_
_symmetry_equiv_pos_as_xyz
'x,y,z'
'x,-y,z'
'x+1/2,y+1/2,z'
'x+1/2,-y+1/2,z'
loop_
_atom_site_label
_atom_site_type_symbol
_atom_site_fract_x
_atom_site_fract_y
_atom_site_fract_z
Ce1 Ce 0.000 0.000 0.000
Ce2 Ce 0.197 0.246 0.259
Ce3 Ce 0.319 0.179 0.000
Nd1 Nd 0.110 0.319 0.580
Nd2 Nd 0.142 0.500 0.994
Nd3 Nd 0.285 0.000 0.576
Nd4 Nd 0.430 0.500 0.583
Si1 Si 0.079 0.500 0.288
Si2 Si 0.350 0.000 0.288
Si3 Si 0.463 0.386 0.288
Si4 Si 0.466 0.251 0.794
```

Main lines, by intensity (10° ≤ 2θ ≤ 80°):
d/Å  intensity
2.768  100
2.446  54
3.358  45
2.579  39
2.569  38
2.755  34
3.373  30
1.614  23

=====

(5)
Starting from the GGA-PBE geometry in the Materials Project, the powder diffraction line list of CeNd3Si8 was simulated for CuKα.

Atomic structure:
```
data_CeNd3Si8
_chemical_formula_sum 'Ce1 Nd3 Si8'
_symmetry_space_group_name_H-M 'P m m 2'
_symmetry_Int_Tables_number 25
_cell_length_a 4.126
_cell_length_b 4.147
_cell_length_c 14.327
_cell_angle_alpha 90.00
_cell_angle_beta 90.00
_cell_angle_gamma 90.00
loop_
_symmetry_equiv_pos_as_xyz
'x,y,z'
'-x,-y,z'
'-x,y,z'
'x,-y,z'
loop_
_atom_site_label
_atom_site_type_symbol
_atom_site_fract_x
_atom_site_fract_y
_atom_site_fract_z
Ce1 Ce 0.000 0.000 0.000
Nd1 Nd 0.000 0.500 0.748
Nd2 Nd 0.500 0.000 0.248
Nd3 Nd 0.500 0.500 0.501
Si1 Si 0.000 0.000 0.415
Si2 Si 0.000 0.000 0.582
Si3 Si 0.000 0.500 0.165
Si4 Si 0.000 0.500 0.332
Si5 Si 0.500 0.000 0.668
Si6 Si 0.500 0.000 0.835
Si7 Si 0.500 0.500 0.081
Si8 Si 0.500 0.500 0.916
```

Main lines, by intensity (10° ≤ 2θ ≤ 80°):
d/Å  intensity
2.708  100
3.126  51
2.355  42
3.582  23
3.983  19
3.965  18
2.073  16
1.833  15

=====

(6)
Starting from the GGA-PBE geometry in the Materials Project, the powder diffraction line list of Ce2Ni7 was simulated for CuKα.

Atomic structure:
```
data_Ce2Ni7
_chemical_formula_sum 'Ce8 Ni28'
_symmetry_space_group_name_H-M 'P 63/m m c'
_symmetry_Int_Tables_number 194
_symmetry_space_group_name_Hall '-P 6c 2c'
_cell_length_a 4.9091
_cell_length_b 4.9091
_cell_length_c 24.4625
_cell_angle_alpha 90.00
_cell_angle_beta 90.00
_cell_angle_gamma 120.00
loop_
_atom_site_label
_atom_site_type_symbol
_atom_site_fract_x
_atom_site_fract_y
_atom_site_fract_z
Ce1 Ce 0.3333 0.6667 0.0307
Ce2 Ce 0.3333 0.6667 0.1747
Ni1 Ni 0.0000 0.0000 0.0000
Ni2 Ni 0.0000 0.0000 0.1676
Ni3 Ni 0.1663 0.3327 0.7500
Ni4 Ni 0.1669 0.3339 0.5851
Ni5 Ni 0.3333 0.6667 0.6674
```

Main lines, by intensity (10° ≤ 2θ ≤ 80°):
d/Å  intensity
2.103  100
2.700  62
2.455  46
2.118  33
1.227  22
1.339  22
1.950  19
1.460  19

=====

(7)
Starting from the GGA-PBE geometry in the Materials Project, the powder diffraction line list of Ce15Ni32 was simulated for CuKα.

Atomic structure:
```
data_Ce15Ni32
_chemical_formula_sum 'Ce60 Ni128'
_symmetry_space_group_name_H-M 'F -4 3 m'
_symmetry_Int_Tables_number 216
_symmetry_space_group_name_Hall 'F -4 2 3'
_cell_length_a 14.273
_cell_length_b 14.273
_cell_length_c 14.273
_cell_angle_alpha 90.00
_cell_angle_beta 90.00
_cell_angle_gamma 90.00
loop_
_atom_site_label
_atom_site_type_symbol
_atom_site_fract_x
_atom_site_fract_y
_atom_site_fract_z
Ce1 Ce 0.000 0.000 0.000
Ce2 Ce 0.008 0.250 0.750
Ce3 Ce 0.106 0.106 0.606
Ce4 Ce 0.126 0.126 0.126
Ni1 Ni 0.063 0.063 0.812
Ni2 Ni 0.064 0.064 0.311
Ni3 Ni 0.188 0.188 0.312
Ni4 Ni 0.188 0.188 0.812
```

Main lines, by intensity (10° ≤ 2θ ≤ 80°):
d/Å  intensity
2.152  100
2.523  54
1.373  26
2.060  24
1.262  20
1.457  16
2.747  7
4.120  5

=====

(8)
Starting from the GGA-PBE geometry in the Materials Project, the powder diffraction line list of CeNi3 was simulated for CuKα.

Atomic structure:
```
data_CeNi3
_chemical_formula_sum 'Ce6 Ni18'
_symmetry_space_group_name_H-M 'P 63/m m c'
_symmetry_Int_Tables_number 194
_symmetry_space_group_name_Hall '-P 6c 2c'
_cell_length_a 4.9460
_cell_length_b 4.9460
_cell_length_c 16.5733
_cell_angle_alpha 90.00
_cell_angle_beta 90.00
_cell_angle_gamma 120.00
loop_
_atom_site_label
_atom_site_type_symbol
_atom_site_fract_x
_atom_site_fract_y
_atom_site_fract_z
Ce1 Ce 0.3333 0.6667 0.0420
Ce2 Ce 0.3333 0.6667 0.2500
Ni1 Ni 0.0000 0.0000 0.0000
Ni2 Ni 0.0000 0.0000 0.2500
Ni3 Ni 0.1662 0.3324 0.6268
Ni4 Ni 0.3333 0.6667 0.7500
```

Main lines, by intensity (10° ≤ 2θ ≤ 80°):
d/Å  intensity
2.124  100
2.621  54
2.473  37
2.072  21
1.997  19
1.455  17
1.236  16
1.350  16

=====

(9)
Starting from the GGA-PBE geometry in the Materials Project, the powder diffraction line list of Ce7Ni3 was simulated for CuKα.

Atomic structure:
```
data_Ce7Ni3
_chemical_formula_sum 'Ce28 Ni12'
_symmetry_space_group_name_H-M 'C m c 21'
_symmetry_Int_Tables_number 36
_cell_length_a 9.481
_cell_length_b 16.379
_cell_length_c 5.988
_cell_angle_alpha 90.00
_cell_angle_beta 90.00
_cell_angle_gamma 90.00
loop_
_symmetry_equiv_pos_as_xyz
'x,y,z'
'-x,-y,z+1/2'
'-x,y,z'
'x,-y,z+1/2'
'x+1/2,y+1/2,z'
'-x+1/2,-y+1/2,z+1/2'
'-x+1/2,y+1/2,z'
'x+1/2,-y+1/2,z+1/2'
loop_
_atom_site_label
_atom_site_type_symbol
_atom_site_fract_x
_atom_site_fract_y
_atom_site_fract_z
Ce1 Ce 0.000 0.041 0.000
Ce2 Ce 0.000 0.167 0.555
Ce3 Ce 0.000 0.371 0.729
Ce4 Ce 0.188 0.230 0.000
Ce5 Ce 0.194 0.436 0.228
Ni1 Ni 0.000 0.312 0.273
Ni2 Ni 0.219 0.094 0.273
```

Main lines, by intensity (10° ≤ 2θ ≤ 80°):
d/Å  intensity
2.753  100
2.487  56
2.418  49
2.812  44
2.367  36
1.593  27
1.612  18
3.099  18

=====

(10)
Starting from the GGA-PBE geometry in the Materials Project, the powder diffraction line list of CeNi was simulated for CuKα.

Atomic structure:
```
data_CeNi
_chemical_formula_sum 'Ce4 Ni4'
_symmetry_space_group_name_H-M 'C m c m'
_symmetry_Int_Tables_number 63
_symmetry_space_group_name_Hall '-C 2c 2'
_cell_length_a 3.601
_cell_length_b 10.719
_cell_length_c 4.230
_cell_angle_alpha 90.00
_cell_angle_beta 90.00
_cell_angle_gamma 90.00
loop_
_atom_site_label
_atom_site_type_symbol
_atom_site_fract_x
_atom_site_fract_y
_atom_site_fract_z
Ce1 Ce 0.000 0.137 0.250
Ni1 Ni 0.000 0.420 0.250
```

Main lines, by intensity (10° ≤ 2θ ≤ 80°):
d/Å  intensity
2.657  100
2.175  57
2.680  35
2.537  35
3.320  32
2.115  29
1.409  21
1.800  19

=====

(11)
Starting from the GGA-PBE geometry in the Materials Project, the powder diffraction line list of CeNi2 was simulated for CuKα.

Atomic structure:
abc: 7.174 7.174 7.174
angles: 90.00 90.00 90.00
Space group Fd-3m (No. 227, origin choice 2)
Inequivalent atoms, fractional coordinates:
Ce1 0.125 0.125 0.125 [8 per cell]
Ni1 0.000 0.000 0.500 [16 per cell]

Main lines, by intensity (10° ≤ 2θ ≤ 80°):
d/Å  intensity
2.163  100
2.536  58
1.381  30
1.268  23
1.464  21
2.071  18
4.142  7
1.646  2